Tb2MgAg4: calculated powder X-ray diffraction pattern (λ = 1.5418 Å (Cu Kα)), based on a crystal structure in Alexandria, relaxed with GGA-PBE.

Largest 10 diffraction maxima, most intense first, 5 to 70 degrees two-theta:
- 2θ 34.7, 2.586 Å, rel. 100
- 2θ 38.5, 2.340 Å, rel. 96
- 2θ 22.9, 3.880 Å, rel. 76
- 2θ 40.3, 2.239 Å, rel. 51
- 2θ 52.8, 1.735 Å, rel. 30
- 2θ 67.2, 1.394 Å, rel. 28
- 2θ 56.9, 1.618 Å, rel. 19
- 2θ 69.6, 1.351 Å, rel. 16
- 2θ 45.3, 2.004 Å, rel. 13
- 2θ 60.9, 1.522 Å, rel. 10

Crystal structure
a = 9.3550 Å, b = 9.3550 Å, c = 9.3550 Å
α = 28.97°, β = 28.97°, γ = 28.97°
Atoms (fractional coordinates):
Tb (0.2493, 0.2493, 0.2493)
Tb (0.7507, 0.7507, 0.7507)
Mg (0.0000, 0.0000, 0.0000)
Ag (0.1370, 0.1370, 0.1370)
Ag (0.3614, 0.3614, 0.3614)
Ag (0.6386, 0.6386, 0.6386)
Ag (0.8630, 0.8630, 0.8630)

***

TbMg4Ag2: calculated powder X-ray diffraction pattern (λ = 1.5418 Å (Cu Kα)), based on a crystal structure in Alexandria, relaxed with GGA-PBE.

Largest 10 diffraction maxima, most intense first, 5 to 70 degrees two-theta:
- 2θ 31.3, 2.861 Å, rel. 100
- 2θ 29.8, 3.002 Å, rel. 45
- 2θ 14.8, 6.004 Å, rel. 41
- 2θ 37.9, 2.373 Å, rel. 39
- 2θ 25.3, 3.524 Å, rel. 39
- 2θ 39.4, 2.285 Å, rel. 35
- 2θ 62.7, 1.482 Å, rel. 25
- 2θ 41.5, 2.176 Å, rel. 23
- 2θ 44.0, 2.059 Å, rel. 20
- 2θ 58.3, 1.582 Å, rel. 20

Crystal structure
a = 8.4911 Å, b = 8.4911 Å, c = 4.3517 Å
α = 90.00°, β = 90.00°, γ = 90.00°
Atoms (fractional coordinates):
Tb (0.0000, 0.0000, 0.0000)
Tb (0.5000, 0.5000, 0.5000)
Mg (0.0904, 0.3381, 0.5000)
Mg (0.1619, 0.5904, 0.0000)
Mg (0.3381, 0.0904, 0.5000)
Mg (0.4096, 0.8381, 0.0000)
Mg (0.5904, 0.1619, 0.0000)
Mg (0.6619, 0.9096, 0.5000)
Mg (0.8381, 0.4096, 0.0000)
Mg (0.9096, 0.6619, 0.5000)
Ag (0.2068, 0.7932, 0.5000)
Ag (0.2932, 0.2932, 0.0000)
Ag (0.7068, 0.7068, 0.0000)
Ag (0.7932, 0.2068, 0.5000)

***

TbMg4Ag: calculated powder X-ray diffraction pattern (λ = 1.5418 Å (Cu Kα)), based on a crystal structure in Alexandria, relaxed with GGA-PBE.

Largest 10 diffraction maxima, most intense first, 5 to 70 degrees two-theta:
- 2θ 33.4, 2.679 Å, rel. 100
- 2θ 19.9, 4.464 Å, rel. 82
- 2θ 29.8, 3.001 Å, rel. 80
- 2θ 24.9, 3.571 Å, rel. 60
- 2θ 21.9, 4.054 Å, rel. 59
- 2θ 32.0, 2.800 Å, rel. 50
- 2θ 36.0, 2.494 Å, rel. 45
- 2θ 46.4, 1.956 Å, rel. 40
- 2θ 51.9, 1.762 Å, rel. 39
- 2θ 42.6, 2.124 Å, rel. 33

Crystal structure
a = 8.9280 Å, b = 4.0537 Å, c = 7.7916 Å
α = 90.00°, β = 90.00°, γ = 90.00°
Atoms (fractional coordinates):
Tb (0.2500, 0.0000, 0.1039)
Tb (0.7500, 0.0000, 0.8961)
Mg (0.0000, 0.0000, 0.5000)
Mg (0.0502, 0.5000, 0.8133)
Mg (0.2500, 0.5000, 0.4369)
Mg (0.4498, 0.5000, 0.8133)
Mg (0.5000, 0.0000, 0.5000)
Mg (0.5502, 0.5000, 0.1867)
Mg (0.7500, 0.5000, 0.5631)
Mg (0.9498, 0.5000, 0.1867)
Ag (0.2500, 0.0000, 0.7063)
Ag (0.7500, 0.0000, 0.2937)

***

Tb3Mg7Ag4: calculated powder X-ray diffraction pattern (λ = 1.5418 Å (Cu Kα)), based on a crystal structure in Alexandria, relaxed with GGA-PBE.

Largest 10 diffraction maxima, most intense first, 5 to 70 degrees two-theta:
- 2θ 31.8, 2.814 Å, rel. 100
- 2θ 34.1, 2.630 Å, rel. 99
- 2θ 28.4, 3.139 Å, rel. 46
- 2θ 40.1, 2.250 Å, rel. 43
- 2θ 38.8, 2.322 Å, rel. 37
- 2θ 20.1, 4.417 Å, rel. 35
- 2θ 33.8, 2.652 Å, rel. 25
- 2θ 30.3, 2.951 Å, rel. 23
- 2θ 16.4, 5.417 Å, rel. 21
- 2θ 10.0, 8.834 Å, rel. 19

Crystal structure
a = 8.4126 Å, b = 8.4126 Å, c = 10.8967 Å
α = 124.34°, β = 124.34°, γ = 31.02°
Atoms (fractional coordinates):
Tb (0.0000, 0.0000, 0.0000)
Tb (0.3012, 0.3012, 0.2855)
Tb (0.6988, 0.6988, 0.7145)
Mg (0.0000, 0.0000, 0.5000)
Mg (0.1682, 0.1682, 0.4333)
Mg (0.3259, 0.3259, 0.9920)
Mg (0.4821, 0.4821, 0.6802)
Mg (0.5179, 0.5179, 0.3198)
Mg (0.6741, 0.6741, 0.0080)
Mg (0.8318, 0.8318, 0.5667)
Ag (0.1089, 0.1089, 0.8225)
Ag (0.3435, 0.3435, 0.7506)
Ag (0.6565, 0.6565, 0.2494)
Ag (0.8911, 0.8911, 0.1775)

***

TbMg9Ag3: calculated powder X-ray diffraction pattern (λ = 1.5418 Å (Cu Kα)), based on a crystal structure in Alexandria, relaxed with GGA-PBE.

Largest 10 diffraction maxima, most intense first, 5 to 70 degrees two-theta:
- 2θ 35.9, 2.501 Å, rel. 100
- 2θ 25.2, 3.537 Å, rel. 95
- 2θ 36.7, 2.451 Å, rel. 73
- 2θ 12.5, 7.081 Å, rel. 71
- 2θ 36.8, 2.440 Å, rel. 70
- 2θ 36.2, 2.483 Å, rel. 69
- 2θ 18.2, 4.881 Å, rel. 56
- 2θ 17.7, 5.002 Å, rel. 41
- 2θ 31.1, 2.872 Å, rel. 39
- 2θ 25.5, 3.492 Å, rel. 33

Crystal structure
a = 7.6029 Å, b = 7.6029 Å, c = 7.5982 Å
α = 97.68°, β = 97.68°, γ = 136.72°
Atoms (fractional coordinates):
Tb (0.0000, 0.0000, 0.0000)
Mg (0.0000, 0.0000, 0.5000)
Mg (0.0043, 0.6515, 0.6609)
Mg (0.2950, 0.5103, 0.7916)
Mg (0.3485, 0.9957, 0.3391)
Mg (0.4897, 0.7050, 0.2084)
Mg (0.5103, 0.2950, 0.7916)
Mg (0.6515, 0.0043, 0.6609)
Mg (0.7050, 0.4897, 0.2084)
Mg (0.9957, 0.3485, 0.3391)
Ag (0.0000, 0.5000, 0.0000)
Ag (0.5000, 0.0000, 0.0000)
Ag (0.5000, 0.5000, 0.5000)

***

Tb5Mg5Ag2: calculated powder X-ray diffraction pattern (λ = 1.5418 Å (Cu Kα)), based on a crystal structure in Alexandria, relaxed with GGA-PBE.

Largest 10 diffraction maxima, most intense first, 5 to 70 degrees two-theta:
- 2θ 33.8, 2.653 Å, rel. 100
- 2θ 49.0, 1.859 Å, rel. 33
- 2θ 35.7, 2.516 Å, rel. 33
- 2θ 21.4, 4.158 Å, rel. 30
- 2θ 19.5, 4.563 Å, rel. 22
- 2θ 19.9, 4.473 Å, rel. 21
- 2θ 60.4, 1.532 Å, rel. 20
- 2θ 31.8, 2.811 Å, rel. 19
- 2θ 25.1, 3.548 Å, rel. 15
- 2θ 34.4, 2.606 Å, rel. 15

Crystal structure
a = 5.3055 Å, b = 5.3055 Å, c = 13.3908 Å
α = 101.48°, β = 101.48°, γ = 59.99°
Atoms (fractional coordinates):
Tb (0.0000, 0.0000, 0.0000)
Tb (0.1420, 0.1420, 0.4263)
Tb (0.4002, 0.4002, 0.2008)
Tb (0.5998, 0.5998, 0.7992)
Tb (0.8580, 0.8580, 0.5737)
Mg (0.2270, 0.2270, 0.6816)
Mg (0.3075, 0.3075, 0.9234)
Mg (0.5000, 0.5000, 0.5000)
Mg (0.6925, 0.6925, 0.0766)
Mg (0.7730, 0.7730, 0.3184)
Ag (0.0709, 0.0709, 0.2128)
Ag (0.9291, 0.9291, 0.7872)

***

Tm2MgAg3Te6: calculated powder X-ray diffraction pattern (λ = 1.5418 Å (Cu Kα)), based on a crystal structure in Alexandria, relaxed with GGA-PBE.

Largest 10 diffraction maxima, most intense first, 5 to 70 degrees two-theta:
- 2θ 30.5, 2.930 Å, rel. 100
- 2θ 26.6, 3.350 Å, rel. 41
- 2θ 40.8, 2.212 Å, rel. 29
- 2θ 8.8, 10.052 Å, rel. 21
- 2θ 42.8, 2.112 Å, rel. 20
- 2θ 41.0, 2.199 Å, rel. 19
- 2θ 44.5, 2.034 Å, rel. 16
- 2θ 41.5, 2.177 Å, rel. 16
- 2θ 63.5, 1.466 Å, rel. 14
- 2θ 51.1, 1.787 Å, rel. 13

Crystal structure
a = 10.4869 Å, b = 10.4869 Å, c = 8.1376 Å
α = 101.64°, β = 101.64°, γ = 23.24°
Atoms (fractional coordinates):
Tm (0.1751, 0.1751, 0.3301)
Tm (0.8249, 0.8249, 0.6699)
Mg (0.5000, 0.5000, 0.0000)
Ag (0.2103, 0.2103, 0.8697)
Ag (0.5000, 0.5000, 0.5000)
Ag (0.7897, 0.7897, 0.1303)
Te (0.0202, 0.0202, 0.2717)
Te (0.3270, 0.3270, 0.4009)
Te (0.3529, 0.3529, 0.9451)
Te (0.6471, 0.6471, 0.0549)
Te (0.6730, 0.6730, 0.5991)
Te (0.9798, 0.9798, 0.7283)

***

ThMg2Ag: calculated powder X-ray diffraction pattern (λ = 1.5418 Å (Cu Kα)), based on a crystal structure in Alexandria, relaxed with GGA-PBE.

Largest 10 diffraction maxima, most intense first, 5 to 70 degrees two-theta:
- 2θ 17.4, 5.090 Å, rel. 100
- 2θ 34.5, 2.600 Å, rel. 76
- 2θ 31.3, 2.860 Å, rel. 62
- 2θ 37.5, 2.399 Å, rel. 55
- 2θ 8.7, 10.180 Å, rel. 46
- 2θ 31.7, 2.823 Å, rel. 33
- 2θ 35.3, 2.545 Å, rel. 29
- 2θ 33.3, 2.689 Å, rel. 28
- 2θ 55.4, 1.659 Å, rel. 26
- 2θ 67.4, 1.390 Å, rel. 26

Crystal structure
a = 10.3584 Å, b = 10.3584 Å, c = 10.3584 Å
α = 18.43°, β = 18.43°, γ = 18.43°
Atoms (fractional coordinates):
Th (0.0000, 0.0000, 0.0000)
Mg (0.5699, 0.5699, 0.5699)
Mg (0.7620, 0.7620, 0.7620)
Ag (0.1657, 0.1657, 0.1657)

***

ThMg4Ag: calculated powder X-ray diffraction pattern (λ = 1.5418 Å (Cu Kα)), based on a crystal structure in Alexandria, relaxed with GGA-PBE.

Largest 10 diffraction maxima, most intense first, 5 to 70 degrees two-theta:
- 2θ 34.6, 2.590 Å, rel. 100
- 2θ 14.8, 5.997 Å, rel. 90
- 2θ 27.3, 3.271 Å, rel. 87
- 2θ 37.4, 2.403 Å, rel. 49
- 2θ 7.4, 11.994 Å, rel. 34
- 2θ 40.4, 2.231 Å, rel. 31
- 2θ 65.7, 1.421 Å, rel. 31
- 2θ 46.3, 1.960 Å, rel. 25
- 2θ 54.0, 1.699 Å, rel. 21
- 2θ 48.5, 1.876 Å, rel. 21

Crystal structure
a = 3.3996 Å, b = 3.3996 Å, c = 11.9940 Å
α = 90.00°, β = 90.00°, γ = 90.00°
Atoms (fractional coordinates):
Th (0.0000, 0.0000, 0.0000)
Mg (0.0000, 0.0000, 0.3676)
Mg (0.0000, 0.0000, 0.6324)
Mg (0.5000, 0.5000, 0.2024)
Mg (0.5000, 0.5000, 0.7976)
Ag (0.5000, 0.5000, 0.5000)

***

Mg7Tl3Ag2: calculated powder X-ray diffraction pattern (λ = 1.5418 Å (Cu Kα)), based on a crystal structure in Alexandria, relaxed with GGA-PBE.

Largest 10 diffraction maxima, most intense first, 5 to 70 degrees two-theta:
- 2θ 15.8, 5.623 Å, rel. 100
- 2θ 21.9, 4.061 Å, rel. 97
- 2θ 35.0, 2.564 Å, rel. 93
- 2θ 34.1, 2.626 Å, rel. 74
- 2θ 35.3, 2.543 Å, rel. 51
- 2θ 32.4, 2.763 Å, rel. 49
- 2θ 5.2, 16.870 Å, rel. 42
- 2θ 38.9, 2.315 Å, rel. 38
- 2θ 33.3, 2.691 Å, rel. 31
- 2θ 38.1, 2.362 Å, rel. 30

Crystal structure
a = 17.0606 Å, b = 17.0606 Å, c = 3.3064 Å
α = 90.00°, β = 90.00°, γ = 162.86°
Atoms (fractional coordinates):
Mg (0.0000, 0.0000, 0.0000)
Mg (0.0764, 0.9236, 0.5000)
Mg (0.2254, 0.7746, 0.0000)
Mg (0.4001, 0.5999, 0.0000)
Mg (0.5999, 0.4001, 0.0000)
Mg (0.7746, 0.2254, 0.0000)
Mg (0.9236, 0.0764, 0.5000)
Tl (0.3130, 0.6870, 0.5000)
Tl (0.5000, 0.5000, 0.5000)
Tl (0.6870, 0.3130, 0.5000)
Ag (0.1431, 0.8569, 0.0000)
Ag (0.8569, 0.1431, 0.0000)

***

Mg7Tl2Ag2: calculated powder X-ray diffraction pattern (λ = 1.5418 Å (Cu Kα)), based on a crystal structure in Alexandria, relaxed with GGA-PBE.

Largest 10 diffraction maxima, most intense first, 5 to 70 degrees two-theta:
- 2θ 36.4, 2.469 Å, rel. 100
- 2θ 20.4, 4.354 Å, rel. 49
- 2θ 26.7, 3.339 Å, rel. 38
- 2θ 55.8, 1.649 Å, rel. 35
- 2θ 28.5, 3.134 Å, rel. 35
- 2θ 29.4, 3.038 Å, rel. 34
- 2θ 22.1, 4.022 Å, rel. 29
- 2θ 31.9, 2.809 Å, rel. 28
- 2θ 11.0, 8.043 Å, rel. 28
- 2θ 36.8, 2.441 Å, rel. 21

Crystal structure
a = 8.9420 Å, b = 8.9420 Å, c = 8.9420 Å
α = 157.03°, β = 70.03°, γ = 114.88°
Atoms (fractional coordinates):
Mg (0.0000, 0.0000, 0.0000)
Mg (0.0000, 0.6668, 0.3332)
Mg (0.2889, 0.4465, 0.8424)
Mg (0.3337, 0.6668, 0.6668)
Mg (0.5710, 0.2318, 0.3391)
Mg (0.6040, 0.4465, 0.1576)
Mg (0.8927, 0.2318, 0.6609)
Tl (0.3360, 0.8360, 0.5000)
Tl (0.6572, 0.6572, 0.0000)
Ag (0.1479, 0.9512, 0.1968)
Ag (0.7544, 0.9512, 0.8032)

***

Mg6TlAg5: calculated powder X-ray diffraction pattern (λ = 1.5418 Å (Cu Kα)), based on a crystal structure in Alexandria, relaxed with GGA-PBE.

Largest 10 diffraction maxima, most intense first, 5 to 70 degrees two-theta:
- 2θ 37.7, 2.387 Å, rel. 100
- 2θ 26.3, 3.393 Å, rel. 57
- 2θ 26.5, 3.360 Å, rel. 28
- 2θ 37.5, 2.396 Å, rel. 25
- 2θ 37.4, 2.402 Å, rel. 25
- 2θ 46.5, 1.952 Å, rel. 24
- 2θ 54.1, 1.696 Å, rel. 17
- 2θ 67.8, 1.382 Å, rel. 17
- 2θ 67.7, 1.384 Å, rel. 16
- 2θ 68.1, 1.376 Å, rel. 16

Crystal structure
a = 7.5945 Å, b = 7.5945 Å, c = 6.7195 Å
α = 90.00°, β = 90.00°, γ = 143.22°
Atoms (fractional coordinates):
Mg (0.0000, 0.0000, 0.2401)
Mg (0.0000, 0.0000, 0.7599)
Mg (0.3281, 0.6719, 0.2429)
Mg (0.3281, 0.6719, 0.7571)
Mg (0.6719, 0.3281, 0.2429)
Mg (0.6719, 0.3281, 0.7571)
Tl (0.5000, 0.5000, 0.5000)
Ag (0.1627, 0.8373, 0.0000)
Ag (0.1693, 0.8307, 0.5000)
Ag (0.5000, 0.5000, 0.0000)
Ag (0.8307, 0.1693, 0.5000)
Ag (0.8373, 0.1627, 0.0000)

***

TmMg9Ag2: calculated powder X-ray diffraction pattern (λ = 1.5418 Å (Cu Kα)), based on a crystal structure in Alexandria, relaxed with GGA-PBE.

Largest 10 diffraction maxima, most intense first, 5 to 70 degrees two-theta:
- 2θ 20.4, 4.351 Å, rel. 100
- 2θ 33.6, 2.664 Å, rel. 88
- 2θ 29.5, 3.025 Å, rel. 68
- 2θ 41.5, 2.175 Å, rel. 35
- 2θ 30.0, 2.977 Å, rel. 33
- 2θ 48.0, 1.896 Å, rel. 31
- 2θ 36.5, 2.461 Å, rel. 29
- 2θ 42.6, 2.122 Å, rel. 28
- 2θ 60.2, 1.538 Å, rel. 22
- 2θ 53.0, 1.729 Å, rel. 22

Crystal structure
a = 9.2262 Å, b = 9.2262 Å, c = 9.2262 Å
α = 99.62°, β = 99.62°, γ = 131.73°
Atoms (fractional coordinates):
Tm (0.3750, 0.6250, 0.7500)
Tm (0.6250, 0.3750, 0.2500)
Mg (0.1250, 0.8750, 0.2500)
Mg (0.1275, 0.5579, 0.3267)
Mg (0.1275, 0.8008, 0.5696)
Mg (0.1992, 0.2688, 0.3267)
Mg (0.1992, 0.8725, 0.9304)
Mg (0.2688, 0.1992, 0.8267)
Mg (0.2688, 0.4421, 0.0696)
Mg (0.4421, 0.2688, 0.5696)
Mg (0.4421, 0.8725, 0.1733)
Mg (0.5579, 0.1275, 0.8267)
Mg (0.5579, 0.7312, 0.4304)
Mg (0.7312, 0.5579, 0.9304)
Mg (0.7312, 0.8008, 0.1733)
Mg (0.8008, 0.1275, 0.0696)
Mg (0.8008, 0.7312, 0.6733)
Mg (0.8725, 0.1992, 0.4304)
Mg (0.8725, 0.4421, 0.6733)
Mg (0.8750, 0.1250, 0.7500)
Ag (0.0000, 0.0000, 0.0000)
Ag (0.0000, 0.0000, 0.5000)
Ag (0.0000, 0.5000, 0.0000)
Ag (0.5000, 0.0000, 0.5000)